Diffraction record for Pm3Te2I. The X-ray diffraction stick pattern is simulated, not measured: it uses the GGA-PBE geometry in Alexandria and λ = 1.5418 Å (Cu Kα).

Largest 10 diffraction maxima, in order of falling intensity, 5 to 70 degrees two-theta:
- 28.36°, I 100, hkl 1 0 4
- 30.45°, I 65, hkl 1 0 5
- 42.64°, I 60, hkl 1 1 0
- 38.33°, I 32, hkl 1 0 8
- 63.33°, I 31, hkl 1 1 12
- 41.36°, I 23, hkl 1 0 9
- 26.63°, I 19, hkl 1 0 3
- 52.01°, I 18, hkl 2 0 4
- 44.50°, I 17, hkl 0 0 12
- 35.48°, I 16, hkl 1 0 7

Crystal structure
```
data_Pm3Te2I
_cell_length_a 4.2404
_cell_length_b 4.2404
_cell_length_c 24.4322
_cell_angle_alpha 90.00
_cell_angle_beta 90.00
_cell_angle_gamma 120.00
_space_group_name_H-M_alt 'P 63/m m c'
_space_group_IT_number 194
_space_group_name_Hall '-P 6c 2c'
loop_
_atom_site_label
_atom_site_fract_x
_atom_site_fract_y
_atom_site_fract_z
Pm1 0.0000 0.0000 0.0000
Pm2 0.3333 0.6667 0.1574
Te1 0.3333 0.6667 0.5798
I1 0.0000 0.0000 0.2500
```